Diffraction record for DyErTm2Tl2. The X-ray diffraction stick pattern is theoretical, not measured: it uses a structure optimized by DFT (GGA-PBE) and Cu Kα (λ = 1.5418 Å).
Peak positions follow from Bragg's law for the DFT cell and can differ from measured ones.

Largest 6 diffraction maxima, by angle, 10 to 90 degrees two-theta:
2θ (°)  intensity  h k l
31.8  62.9  1 0 2
32.5  100.0  1 3 0
33.1  82.6  1 1 2
35.2  37.5  1 3 1
35.6  60.0  2 0 0
38.1  26.4  0 3 2

Cell and atoms:
a b c (Å): 5.0396 9.8737 6.7801
angles (deg): 90.00 90.00 90.00
Fractional coordinates of all 12 atoms:
Dy 0.0000 0.0421 0.0000
Dy 0.0000 0.9579 0.5000
Er 0.5000 0.1901 0.7171
Er 0.5000 0.8099 0.2171
Tm 0.0000 0.3136 0.3771
Tm 0.0000 0.6864 0.8771
Tm 0.5000 0.4576 0.0927
Tm 0.5000 0.5424 0.5927
Tl 0.0000 0.3682 0.8382
Tl 0.0000 0.6318 0.3382
Tl 0.5000 0.1342 0.2552
Tl 0.5000 0.8658 0.7552